Calculated powder diffractogram of ErZn8Pd4 for a wavelength of 1.5418 Å, from the GGA-PBE geometry in Alexandria.
Neutral-atom scattering factors, no anomalous dispersion.

Crystal structure
Unit cell a=8.7499 b=8.7499 c=5.4864 alpha=90.00 beta=90.00 gamma=90.00
Space group I4/mmm (No. 139)
One atom of each set of equivalent atoms:
Er1 0.0000 0.0000 0.0000 [2 per cell]
Zn1 0.0000 0.2164 0.5000 [8 per cell]
Zn2 0.0000 0.3467 0.0000 [8 per cell]
Pd1 0.2500 0.2500 0.2500 [8 per cell]

Peak list (10 most intense, 2θ = 15–90°, in order of rising 2θ)
two_theta, I_rel, (hkl)
28.01, 17, 2 1 1
34.84, 41, 3 0 1
38.74, 100, 2 0 2
40.65, 78, 3 2 1
41.27, 64, 4 0 0
44.12, 54, 2 2 2
46.41, 25, 4 2 0
57.89, 21, 4 2 2
63.72, 20, 3 2 3
73.55, 27, 6 0 2